# LiEr4Zn3
Calculated powder X-ray diffraction pattern, Cu Kα, 1.54184 Å. Input: a crystal structure in Alexandria, relaxed with PBE.
No peak broadening, texture or thermal motion is included.

Top 10 peaks for 2θ = 5–70°, in order of falling intensity:
35.71 deg, 2.514 Å, I 100.0
25.04 deg, 3.556 Å, I 31.0
64.11 deg, 1.453 Å, I 24.0
51.32 deg, 1.780 Å, I 11.8
64.25 deg, 1.450 Å, I 11.8
44.11 deg, 2.053 Å, I 9.4
57.94 deg, 1.592 Å, I 8.6
51.54 deg, 1.773 Å, I 5.8
58.11 deg, 1.587 Å, I 4.2
12.48 deg, 7.093 Å, I 2.0

Crystal structure
abc: 5.035 5.035 14.186
angles: 90.00 90.00 90.00
Fractional coordinates of all 16 atoms:
1 Li 0.000 0.000 0.000
2 Li 0.500 0.500 0.500
3 Er 0.000 0.500 0.127
4 Er 0.000 0.500 0.373
5 Er 0.000 0.500 0.627
6 Er 0.000 0.500 0.873
7 Er 0.500 0.000 0.127
8 Er 0.500 0.000 0.373
9 Er 0.500 0.000 0.627
10 Er 0.500 0.000 0.873
11 Zn 0.000 0.000 0.248
12 Zn 0.000 0.000 0.500
13 Zn 0.000 0.000 0.752
14 Zn 0.500 0.500 0.000
15 Zn 0.500 0.500 0.252
16 Zn 0.500 0.500 0.748

---

# LiEr3Zn8
Calculated powder X-ray diffraction pattern, Cu Kα, 1.54184 Å. Input: a crystal structure in Alexandria, relaxed with PBE.
No peak broadening, texture or thermal motion is included.

Top 10 peaks for 2θ = 5–70°, in order of falling intensity:
39.37 deg, 2.288 Å, I 100.0
33.39 deg, 2.684 Å, I 46.3
63.71 deg, 1.461 Å, I 30.8
41.20 deg, 2.191 Å, I 24.7
59.68 deg, 1.549 Å, I 17.1
10.10 deg, 8.756 Å, I 9.3
19.39 deg, 4.579 Å, I 8.6
20.26 deg, 4.382 Å, I 7.4
25.58 deg, 3.482 Å, I 6.8
30.62 deg, 2.920 Å, I 6.0

Crystal structure
abc: 9.289 9.289 9.289
angles: 33.60 33.60 33.60
Fractional coordinates of all 12 atoms:
1 Li 0.000 0.000 0.000
2 Er 0.370 0.370 0.370
3 Er 0.495 0.495 0.495
4 Er 0.878 0.878 0.878
5 Zn 0.185 0.185 0.185
6 Zn 0.434 0.934 0.934
7 Zn 0.435 0.435 0.937
8 Zn 0.435 0.937 0.435
9 Zn 0.685 0.685 0.685
10 Zn 0.934 0.434 0.934
11 Zn 0.934 0.934 0.434
12 Zn 0.937 0.435 0.435

---

# LiEr3Zn2
Calculated powder X-ray diffraction pattern, Cu Kα, 1.54184 Å. Input: a crystal structure in Alexandria, relaxed with PBE.
No peak broadening, texture or thermal motion is included.

Top 10 peaks for 2θ = 5–70°, in order of falling intensity:
35.53 deg, 2.527 Å, I 100.0
35.73 deg, 2.513 Å, I 48.9
25.06 deg, 3.553 Å, I 35.6
64.07 deg, 1.453 Å, I 34.6
24.78 deg, 3.594 Å, I 18.4
63.67 deg, 1.462 Å, I 18.0
51.43 deg, 1.777 Å, I 17.0
43.97 deg, 2.059 Å, I 16.2
50.82 deg, 1.797 Å, I 9.1
57.47 deg, 1.603 Å, I 7.6

Crystal structure
abc: 5.022 15.086 3.594
angles: 90.00 90.00 90.00
Fractional coordinates of all 12 atoms:
1 Li 0.000 0.000 0.000
2 Li 0.500 0.500 0.000
3 Er 0.000 0.172 0.500
4 Er 0.000 0.500 0.500
5 Er 0.000 0.828 0.500
6 Er 0.500 0.000 0.500
7 Er 0.500 0.328 0.500
8 Er 0.500 0.672 0.500
9 Zn 0.000 0.339 0.000
10 Zn 0.000 0.661 0.000
11 Zn 0.500 0.161 0.000
12 Zn 0.500 0.839 0.000